For Zn6NiPt2, a PBE-relaxed structure gives the theoretical X-ray diffraction stick pattern in this record (Cu Kα).
Neutral-atom scattering factors, no anomalous dispersion.

Principal peaks in the range 15° ≤ 2θ ≤ 90°, in order of rising 2θ:
- hkl 1 1 0, 2θ 22.80, I = 30
- hkl 1 1 2, 2θ 30.23, I = 33
- hkl 2 0 0, 2θ 32.46, I = 51
- hkl 2 0 2, 2θ 38.20, I = 100
- hkl 0 0 4, 2θ 39.76, I = 50
- hkl 2 1 2, 2θ 41.68, I = 18
- hkl 2 2 0, 2θ 46.57, I = 30
- hkl 2 2 2, 2θ 50.98, I = 27
- hkl 2 0 4, 2θ 52.24, I = 26
- hkl 3 1 2, 2θ 56.53, I = 34
- hkl 2 2 4, 2θ 62.86, I = 24
- hkl 4 2 0, 2θ 77.37, I = 18

Atomic structure:
```
18
Lattice="5.516 0.000 0.000 0.000 5.516 0.000 0.000 0.000 9.067" Properties=species:S:1:pos:R:3 pbc="T T T"
Zn 0.000 0.000 2.138
Zn 0.000 0.000 6.929
Zn 0.702 1.651 0.000
Zn 1.107 2.056 4.534
Zn 1.651 4.814 0.000
Zn 2.056 4.409 4.534
Zn 2.758 2.758 2.396
Zn 2.758 2.758 6.671
Zn 3.460 1.107 4.534
Zn 3.865 0.702 0.000
Zn 4.409 3.460 4.534
Zn 4.814 3.865 0.000
Ni 0.000 0.000 4.534
Ni 2.758 2.758 0.000
Pt 0.000 2.758 2.267
Pt 0.000 2.758 6.800
Pt 2.758 0.000 2.267
Pt 2.758 0.000 6.800
```